No. 1
Starting from a DFT-relaxed cell (PBE, Alexandria), the powder diffraction line list of DyMg9Ag3 was calculated for Cu Kα.

Lattice parameters (Å, degrees): 7.5981 7.5981 7.5945 97.68 97.68 136.72
Positions (direct):
1 Dy 0.0000 0.0000 0.0000
2 Mg 0.0000 0.0000 0.5000
3 Mg 0.0045 0.6518 0.6610
4 Mg 0.2954 0.5105 0.7919
5 Mg 0.3482 0.9955 0.3390
6 Mg 0.4895 0.7046 0.2081
7 Mg 0.5105 0.2954 0.7919
8 Mg 0.6518 0.0045 0.6610
9 Mg 0.7046 0.4895 0.2081
10 Mg 0.9955 0.3482 0.3390
11 Ag 0.0000 0.5000 0.0000
12 Ag 0.5000 0.0000 0.0000
13 Ag 0.5000 0.5000 0.5000

Largest 8 diffraction maxima, sorted by position, 15 to 90 degrees two-theta:
- 17.7 deg, d 4.999, rel. 39
- 18.2 deg, d 4.879, rel. 57
- 25.2 deg, d 3.535, rel. 95
- 31.2 deg, d 2.871, rel. 39
- 35.9 deg, d 2.499, rel. 100
- 36.2 deg, d 2.482, rel. 69
- 36.7 deg, d 2.449, rel. 73
- 36.9 deg, d 2.439, rel. 70

=====

No. 2
Starting from a DFT-relaxed cell (PBE, Alexandria), the powder diffraction line list of Tb2Sm4HoEr2 was calculated for Cu Kα.

Lattice parameters (Å, degrees): 9.4575 9.4575 8.7686 90.05 90.05 21.76
Positions (direct):
1 Tb 0.1113 0.1113 0.3297
2 Tb 0.8887 0.8887 0.6703
3 Sm 0.2223 0.2223 0.6695
4 Sm 0.4448 0.4448 0.3311
5 Sm 0.5552 0.5552 0.6689
6 Sm 0.7777 0.7777 0.3305
7 Ho 0.0000 0.0000 0.0000
8 Er 0.3333 0.3333 0.9998
9 Er 0.6667 0.6667 0.0002

Largest 8 diffraction maxima, sorted by position, 15 to 90 degrees two-theta:
- 30.6 deg, d 2.919, rel. 100
- 35.5 deg, d 2.528, rel. 51
- 51.1 deg, d 1.788, rel. 30
- 60.8 deg, d 1.524, rel. 32
- 60.8 deg, d 1.523, rel. 7
- 63.8 deg, d 1.459, rel. 9
- 83.3 deg, d 1.160, rel. 10
- 85.9 deg, d 1.131, rel. 11

=====

No. 3
Starting from a DFT-relaxed cell (PBE, Alexandria), the powder diffraction line list of La2AlZn4Hg3 was calculated for Cu Kα.

Lattice parameters (Å, degrees): 4.4304 4.4304 11.3597 90.00 90.00 90.00
Positions (direct):
1 La 0.0000 0.5000 0.2456
2 La 0.5000 0.0000 0.7544
3 Al 0.5000 0.5000 0.0000
4 Zn 0.0000 0.0000 0.5000
5 Zn 0.0000 0.5000 0.8680
6 Zn 0.5000 0.0000 0.1320
7 Zn 0.5000 0.5000 0.5000
8 Hg 0.0000 0.0000 0.0000
9 Hg 0.0000 0.5000 0.6374
10 Hg 0.5000 0.0000 0.3626

Largest 8 diffraction maxima, sorted by position, 15 to 90 degrees two-theta:
- 25.5 deg, d 3.493, rel. 36
- 31.1 deg, d 2.878, rel. 78
- 32.6 deg, d 2.743, rel. 100
- 40.7 deg, d 2.215, rel. 75
- 43.0 deg, d 2.104, rel. 35
- 44.8 deg, d 2.022, rel. 49
- 52.1 deg, d 1.756, rel. 37
- 62.2 deg, d 1.493, rel. 37

=====

No. 4
Starting from a DFT-relaxed cell (PBE, Alexandria), the powder diffraction line list of NdCu13 was calculated for Cu Kα.

Lattice parameters (Å, degrees): 8.1818 8.1818 8.1818 60.00 60.00 60.00
Positions (direct):
1 Nd 0.2500 0.2500 0.2500
2 Nd 0.7500 0.7500 0.7500
3 Cu 0.0000 0.0000 0.0000
4 Cu 0.0629 0.2972 0.7028
5 Cu 0.0629 0.7028 0.9371
6 Cu 0.0629 0.9371 0.2972
7 Cu 0.2028 0.4371 0.7972
8 Cu 0.2028 0.5629 0.4371
9 Cu 0.2028 0.7972 0.5629
10 Cu 0.2972 0.0629 0.9371
11 Cu 0.2972 0.7028 0.0629
12 Cu 0.2972 0.9371 0.7028
13 Cu 0.4371 0.2028 0.5629
14 Cu 0.4371 0.5629 0.7972
15 Cu 0.4371 0.7972 0.2028
16 Cu 0.5000 0.5000 0.5000
17 Cu 0.5629 0.2028 0.7972
18 Cu 0.5629 0.4371 0.2028
19 Cu 0.5629 0.7972 0.4371
20 Cu 0.7028 0.0629 0.2972
21 Cu 0.7028 0.2972 0.9371
22 Cu 0.7028 0.9371 0.0629
23 Cu 0.7972 0.2028 0.4371
24 Cu 0.7972 0.4371 0.5629
25 Cu 0.7972 0.5629 0.2028
26 Cu 0.9371 0.0629 0.7028
27 Cu 0.9371 0.2972 0.0629
28 Cu 0.9371 0.7028 0.2972

Largest 8 diffraction maxima, sorted by position, 15 to 90 degrees two-theta:
- 34.7 deg, d 2.587, rel. 42
- 38.1 deg, d 2.362, rel. 83
- 46.4 deg, d 1.956, rel. 100
- 47.1 deg, d 1.928, rel. 17
- 49.8 deg, d 1.830, rel. 19
- 59.8 deg, d 1.546, rel. 16
- 66.7 deg, d 1.403, rel. 14
- 81.5 deg, d 1.181, rel. 13

=====

No. 5
Starting from a DFT-relaxed cell (PBE, Alexandria), the powder diffraction line list of Ba2CuSbN was calculated for Cu Kα.

Lattice parameters (Å, degrees): 6.0507 6.0507 3.7082 90.00 90.00 90.00
Positions (direct):
1 Ba 0.0000 0.5000 0.0000
2 Ba 0.5000 0.0000 0.0000
3 Cu 0.0000 0.0000 0.5000
4 Sb 0.5000 0.5000 0.5000
5 N 0.0000 0.0000 0.0000

Largest 8 diffraction maxima, sorted by position, 15 to 90 degrees two-theta:
- 29.5 deg, d 3.025, rel. 70
- 31.9 deg, d 2.802, rel. 100
- 42.2 deg, d 2.139, rel. 26
- 53.9 deg, d 1.700, rel. 45
- 58.4 deg, d 1.581, rel. 19
- 66.8 deg, d 1.401, rel. 13
- 86.0 deg, d 1.130, rel. 12
- 89.7 deg, d 1.093, rel. 12

=====

No. 6
Starting from a DFT-relaxed cell (PBE, Alexandria), the powder diffraction line list of SmPaCo2 was calculated for Cu Kα.

Lattice parameters (Å, degrees): 5.2346 4.3153 7.2498 90.00 109.10 90.00
Positions (direct):
1 Sm 0.2393 0.2500 0.4334
2 Sm 0.7607 0.7500 0.5666
3 Pa 0.2073 0.2500 0.9197
4 Pa 0.7927 0.7500 0.0803
5 Co 0.3067 0.7500 0.1447
6 Co 0.3377 0.7500 0.7708
7 Co 0.6623 0.2500 0.2292
8 Co 0.6933 0.2500 0.8553

Largest 8 diffraction maxima, sorted by position, 15 to 90 degrees two-theta:
- 27.4 deg, d 3.252, rel. 89
- 33.4 deg, d 2.683, rel. 100
- 33.7 deg, d 2.661, rel. 87
- 36.3 deg, d 2.473, rel. 58
- 36.5 deg, d 2.464, rel. 35
- 41.9 deg, d 2.158, rel. 56
- 42.9 deg, d 2.107, rel. 38
- 56.7 deg, d 1.623, rel. 40

=====

No. 7
Starting from a DFT-relaxed cell (PBE, Alexandria), the powder diffraction line list of Fe14CoSi was calculated for Cu Kα.

Lattice parameters (Å, degrees): 4.9172 4.9172 7.9932 90.00 90.00 108.77
Positions (direct):
1 Fe 0.0000 0.0000 0.0000
2 Fe 0.0000 0.5000 0.0000
3 Fe 0.0000 0.5000 0.5000
4 Fe 0.2477 0.7523 0.2518
5 Fe 0.2477 0.7523 0.7482
6 Fe 0.2513 0.2513 0.2506
7 Fe 0.2513 0.2513 0.7494
8 Fe 0.5000 0.0000 0.0000
9 Fe 0.5000 0.0000 0.5000
10 Fe 0.5000 0.5000 0.0000
11 Fe 0.7487 0.7487 0.2506
12 Fe 0.7487 0.7487 0.7494
13 Fe 0.7523 0.2477 0.2518
14 Fe 0.7523 0.2477 0.7482
15 Co 0.5000 0.5000 0.5000
16 Si 0.0000 0.0000 0.5000

Largest 8 diffraction maxima, sorted by position, 15 to 90 degrees two-theta:
- 19.1 deg, d 4.656, rel. 1
- 22.1 deg, d 4.023, rel. 1
- 45.1 deg, d 2.012, rel. 100
- 45.4 deg, d 1.999, rel. 49
- 65.2 deg, d 1.432, rel. 8
- 66.1 deg, d 1.413, rel. 14
- 83.0 deg, d 1.164, rel. 14
- 83.6 deg, d 1.156, rel. 28